This entry pairs a crystal structure of DyNpNiS4 with its computed powder XRD pattern. Radiation: Cu Kα. Structure: a DFT-relaxed cell (PBE, Alexandria).
No peak broadening, texture or thermal motion is included.

Atomic structure:
```
data_DyNpNiS4
_chemical_formula_sum 'Dy2 Np2 Ni2 S8'
_space_group_name_H-M_alt 'P 1'
_space_group_IT_number 1
_cell_length_a 6.433
_cell_length_b 5.643
_cell_length_c 7.649
_cell_angle_alpha 90.00
_cell_angle_beta 106.44
_cell_angle_gamma 90.00
loop_
_space_group_symop_operation_xyz
'x,y,z'
loop_
_atom_site_label
_atom_site_type_symbol
_atom_site_fract_x
_atom_site_fract_y
_atom_site_fract_z
Dy1 Dy 0.234 0.250 0.433
Dy2 Dy 0.766 0.750 0.567
Np1 Np 0.254 0.250 0.940
Np2 Np 0.746 0.750 0.060
Ni1 Ni 0.260 0.750 0.177
Ni2 Ni 0.740 0.250 0.823
S1 S 0.069 0.750 0.383
S2 S 0.072 0.750 0.892
S3 S 0.484 0.511 0.744
S4 S 0.484 0.989 0.744
S5 S 0.516 0.011 0.256
S6 S 0.516 0.489 0.256
S7 S 0.928 0.250 0.108
S8 S 0.931 0.250 0.617
```

Top 10 peaks for 10 to 90 degrees two-theta, in order of rising 2θ:
hkl  d [Å]  Position (°2θ)  I (rel.)
1 1 0  4.164  21.34  1000
2 0 0  3.080  28.99  698
1 1 -2  3.057  29.21  347
0 2 0  2.821  31.71  704
2 0 -2  2.779  32.21  340
1 1 2  2.524  35.57  427
2 1 -2  2.494  36.01  420
2 2 0  2.082  43.47  419
3 1 0  1.933  47.00  395
1 0 -4  1.912  47.56  251